1.
This entry pairs a crystal structure of Sc4ZnCdGa2 with its simulated powder diffraction line list. Radiation: CuKα. Structure: a cell relaxed with PBE.
Intensities are scaled so that the largest is 100.

Structural model:
```
Sc4ZnCdGa2
1.0
2.4023 1.3870 7.8407
-2.4023 1.3870 7.8407
0.0000 -2.7740 7.8407
Sc Zn Cd Ga
4 1 1 2
direct
0.1211 0.1211 0.1211
0.3715 0.3715 0.3715
0.6285 0.6285 0.6285
0.8789 0.8789 0.8789
0.0000 0.0000 0.0000
0.5000 0.5000 0.5000
0.2481 0.2481 0.2481
0.7519 0.7519 0.7519
```

Largest 6 diffraction maxima, in order of falling intensity, 2θ from 5° to 70°:
2θ 37.4, intensity 100; 2θ 67.6, intensity 31; 2θ 54.0, intensity 16; 2θ 26.2, intensity 11; 2θ 61.0, intensity 5; 2θ 46.3, intensity 4


2.
This entry pairs a crystal structure of Cd2Ga2Se5 with its simulated powder diffraction line list. Radiation: CuKα. Structure: a cell relaxed with PBE.
Intensities are scaled so that the largest is 100.

Structural model:
```
Cd2Ga2Se5
1.0
7.1640 0.0000 0.0000
0.0000 6.7096 0.0000
-3.5194 0.0000 10.1918
Cd Ga Se
4 4 10
direct
0.0698 0.0000 0.3231
0.1558 0.5215 0.1212
0.8442 0.0215 0.8788
0.9302 0.5000 0.6769
0.3493 0.5176 0.5072
0.4747 0.0126 0.1010
0.5253 0.5126 0.8990
0.6507 0.0176 0.4928
0.0528 0.6047 0.3295
0.1450 0.1174 0.1014
0.2893 0.6594 0.7031
0.3567 0.1495 0.5303
0.4963 0.1458 0.8944
0.5037 0.6458 0.1056
0.6433 0.6495 0.4697
0.7107 0.1594 0.2969
0.8550 0.6174 0.8986
0.9472 0.1047 0.6705
```

Largest 6 diffraction maxima, in order of falling intensity, 2θ from 5° to 70°:
2θ 26.6, intensity 100; 2θ 48.1, intensity 82; 2θ 25.2, intensity 56; 2θ 25.1, intensity 55; 2θ 24.9, intensity 50; 2θ 43.8, intensity 45


3.
This entry pairs a crystal structure of Sm4CdGa3 with its simulated powder diffraction line list. Radiation: CuKα. Structure: a cell relaxed with PBE.
Intensities are scaled so that the largest is 100.

Structural model:
```
Sm4CdGa3
1.0
10.4392 0.0000 0.0000
0.0000 7.4040 0.0000
0.0000 0.0000 5.2198
Sm Cd Ga
8 2 6
direct
0.0000 0.2437 0.0000
0.0000 0.7563 0.0000
0.2500 0.2437 0.4992
0.2500 0.7563 0.4992
0.5000 0.2437 0.0000
0.5000 0.7563 0.0000
0.7500 0.2437 0.5008
0.7500 0.7563 0.5008
0.0000 0.5000 0.5000
0.5000 0.5000 0.5000
0.0000 0.0000 0.5000
0.2500 0.0000 0.9990
0.2500 0.5000 0.9990
0.5000 0.0000 0.5000
0.7500 0.0000 0.0010
0.7500 0.5000 0.0010
```

Largest 6 diffraction maxima, in order of falling intensity, 2θ from 5° to 70°:
2θ 34.3, intensity 100; 2θ 61.5, intensity 24; 2θ 61.4, intensity 12; 2θ 49.4, intensity 12; 2θ 24.1, intensity 10; 2θ 49.2, intensity 6


4.
This entry pairs a crystal structure of Sm2CdGa12 with its simulated powder diffraction line list. Radiation: CuKα. Structure: a cell relaxed with PBE.
Intensities are scaled so that the largest is 100.

Structural model:
```
Sm2CdGa12
1.0
5.9111 0.0000 0.0000
0.0000 5.9111 0.0000
0.0000 0.0000 17.5668
Sm Cd Ga
4 2 24
direct
0.2500 0.7500 0.2192
0.2500 0.7500 0.7808
0.7500 0.2500 0.2192
0.7500 0.2500 0.7808
0.2500 0.7500 0.5000
0.7500 0.2500 0.5000
0.0024 0.5024 0.3844
0.0024 0.9976 0.6156
0.0669 0.5669 0.9349
0.0669 0.9331 0.0651
0.2500 0.2500 0.1493
0.2500 0.2500 0.2909
0.2500 0.2500 0.7091
0.2500 0.2500 0.8507
0.4331 0.5669 0.0651
0.4331 0.9331 0.9349
0.4976 0.5024 0.6156
0.4976 0.9976 0.3844
0.5024 0.0024 0.6156
0.5024 0.4976 0.3844
0.5669 0.0669 0.0651
0.5669 0.4331 0.9349
0.7500 0.7500 0.1493
0.7500 0.7500 0.2909
0.7500 0.7500 0.7091
0.7500 0.7500 0.8507
0.9331 0.0669 0.9349
0.9331 0.4331 0.0651
0.9976 0.0024 0.3844
0.9976 0.4976 0.6156
```

Largest 6 diffraction maxima, in order of falling intensity, 2θ from 5° to 70°:
2θ 43.3, intensity 100; 2θ 34.0, intensity 93; 2θ 42.0, intensity 93; 2θ 31.9, intensity 92; 2θ 36.6, intensity 85; 2θ 29.5, intensity 61


5.
This entry pairs a crystal structure of Sm4CdGa12 with its simulated powder diffraction line list. Radiation: CuKα. Structure: a cell relaxed with PBE.
Intensities are scaled so that the largest is 100.

Structural model:
```
Sm4CdGa12
1.0
-4.4313 4.4313 4.4313
4.4313 -4.4313 4.4313
4.4313 4.4313 -4.4313
Sm Cd Ga
4 1 12
direct
0.0000 0.0000 0.5000
0.0000 0.5000 0.0000
0.5000 0.0000 0.0000
0.5000 0.5000 0.5000
0.0000 0.0000 0.0000
0.0000 0.3144 0.3144
0.0000 0.6856 0.6856
0.2500 0.5000 0.7500
0.2500 0.7500 0.5000
0.3144 0.0000 0.3144
0.3144 0.3144 0.0000
0.5000 0.2500 0.7500
0.5000 0.7500 0.2500
0.6856 0.0000 0.6856
0.6856 0.6856 0.0000
0.7500 0.2500 0.5000
0.7500 0.5000 0.2500
```

Largest 6 diffraction maxima, in order of falling intensity, 2θ from 5° to 70°:
2θ 35.1, intensity 100; 2θ 40.7, intensity 68; 2θ 28.5, intensity 45; 2θ 59.0, intensity 36; 2θ 38.0, intensity 18; 2θ 66.8, intensity 16


6.
This entry pairs a crystal structure of Sm2Cd16Ga with its simulated powder diffraction line list. Radiation: CuKα. Structure: a cell relaxed with PBE.
Intensities are scaled so that the largest is 100.

Structural model:
```
Sm2Cd16Ga
1.0
5.0528 2.9172 4.9381
-5.0528 2.9172 4.9381
0.0000 -5.8344 4.9381
Sm Cd Ga
2 16 1
direct
0.0000 0.0000 0.0000
0.3476 0.3476 0.3476
0.0130 0.0130 0.5559
0.0130 0.5559 0.0130
0.2191 0.6501 0.6501
0.3028 0.3028 0.9016
0.3028 0.9016 0.3028
0.3680 0.6801 0.9884
0.3680 0.9884 0.6801
0.5559 0.0130 0.0130
0.6044 0.6044 0.6044
0.6501 0.2191 0.6501
0.6501 0.6501 0.2191
0.6801 0.3680 0.9884
0.6801 0.9884 0.3680
0.9016 0.3028 0.3028
0.9884 0.3680 0.6801
0.9884 0.6801 0.3680
0.7888 0.7888 0.7888
```

Largest 6 diffraction maxima, in order of falling intensity, 2θ from 5° to 70°:
2θ 35.7, intensity 100; 2θ 30.6, intensity 31; 2θ 36.4, intensity 28; 2θ 40.1, intensity 22; 2θ 35.5, intensity 22; 2θ 65.1, intensity 15


7.
This entry pairs a crystal structure of SmTmCdGa with its simulated powder diffraction line list. Radiation: CuKα. Structure: a cell relaxed with PBE.
Intensities are scaled so that the largest is 100.

Structural model:
```
SmTmCdGa
1.0
3.6314 0.0000 0.0000
0.0000 3.6314 0.0000
0.0000 0.0000 7.4972
Sm Tm Cd Ga
1 1 1 1
direct
0.0000 0.0000 0.0000
0.0000 0.0000 0.4683
0.5000 0.5000 0.7183
0.5000 0.5000 0.2467
```

Largest 6 diffraction maxima, in order of falling intensity, 2θ from 5° to 70°:
2θ 34.4, intensity 100; 2θ 34.9, intensity 50; 2θ 62.3, intensity 35; 2θ 50.2, intensity 18; 2θ 61.2, intensity 17; 2θ 48.6, intensity 8


8.
This entry pairs a crystal structure of CdGa4Sn2 with its simulated powder diffraction line list. Radiation: CuKα. Structure: a cell relaxed with PBE.
Intensities are scaled so that the largest is 100.

Structural model:
```
CdGa4Sn2
1.0
8.9763 -3.1005 0.0000
8.9763 3.1005 0.0000
-2.1065 0.0000 5.8052
Cd Ga Sn
2 8 4
direct
0.2490 0.7510 0.7500
0.7510 0.2490 0.2500
0.1039 0.1988 0.2501
0.1988 0.1039 0.7501
0.2026 0.6514 0.1241
0.3486 0.7974 0.3759
0.6514 0.2026 0.6241
0.7974 0.3486 0.8759
0.8012 0.8961 0.2499
0.8961 0.8012 0.7499
0.2150 0.4224 0.3879
0.4224 0.2150 0.8879
0.5776 0.7850 0.1121
0.7850 0.5776 0.6121
```

Largest 6 diffraction maxima, in order of falling intensity, 2θ from 5° to 70°:
2θ 32.8, intensity 100; 2θ 38.0, intensity 76; 2θ 30.7, intensity 67; 2θ 29.4, intensity 56; 2θ 30.9, intensity 47; 2θ 32.8, intensity 31